[1]
Structure and simulated X-ray diffraction stick pattern of La2BC (a crystal structure in Alexandria, relaxed with GGA-PBE; λ = 1.5418 Å (Cu Kα)).
Neutral-atom scattering factors, no anomalous dispersion.

Crystal structure
```
La2BC
1.0
-1.5529 1.8312 7.4704
1.5529 -1.8312 7.4704
1.5529 1.8312 -7.4704
La B C
2 1 1
direct
0.1254 0.1254 0.0000
0.8746 0.8746 0.0000
0.5000 0.5000 0.0000
0.5000 0.0000 0.5000
```

Most intense lines, 5° ≤ 2θ ≤ 70°, by intensity:
- 2θ 23.82, I = 1000
- 2θ 45.33, I = 857
- 2θ 25.03, I = 821
- 2θ 30.29, I = 791
- 2θ 29.37, I = 712
- 2θ 37.99, I = 684
- 2θ 34.02, I = 465
- 2θ 38.90, I = 381

[2]
Structure and simulated X-ray diffraction stick pattern of RbLaB6C6 (a crystal structure in Alexandria, relaxed with GGA-PBE; λ = 1.5418 Å (Cu Kα)).
Neutral-atom scattering factors, no anomalous dispersion.

Crystal structure
```
RbLaB6C6
1.0
4.9206 0.0000 0.0000
0.0000 4.9206 0.0000
0.0000 0.0000 4.9206
Rb La B C
1 1 6 6
direct
0.0000 0.0000 0.0000
0.5000 0.5000 0.5000
0.0000 0.2473 0.5000
0.0000 0.7527 0.5000
0.2473 0.5000 0.0000
0.5000 0.0000 0.2473
0.5000 0.0000 0.7527
0.7527 0.5000 0.0000
0.0000 0.5000 0.2570
0.0000 0.5000 0.7430
0.2570 0.0000 0.5000
0.5000 0.2570 0.0000
0.5000 0.7430 0.0000
0.7430 0.0000 0.5000
```

Most intense lines, 5° ≤ 2θ ≤ 70°, by intensity:
- 2θ 25.60, I = 1000
- 2θ 45.13, I = 859
- 2θ 36.52, I = 405
- 2θ 59.40, I = 215
- 2θ 52.61, I = 153
- 2θ 18.03, I = 90
- 2θ 41.02, I = 47
- 2θ 31.49, I = 27